(1)
The following is a theoretical powder diffractogram of Cd4Sn2Hg. It was derived from a DFT-relaxed cell (GGA-PBE, Alexandria), using Cu Kα (λ = 1.5418 Å).
Kinematic intensities with the Lorentz-polarization factor, no thermal factor.

Main lines, low angle first (2θ = 10–80°):
28.76 deg, rel. 30.7; 31.88 deg, rel. 100.0; 32.65 deg, rel. 62.6; 33.85 deg, rel. 83.4; 35.36 deg, rel. 44.1; 35.72 deg, rel. 29.9; 38.31 deg, rel. 56.5; 41.71 deg, rel. 35.6

```
Cd4Sn2Hg
1.0
7.3574 -1.6028 0.0000
7.3574 1.6028 0.0000
-4.6949 0.0000 7.4885
Cd Sn Hg
4 2 1
Cartesian
-1.0427 0.0000 3.0059 Cd
4.7785 0.0000 0.8273 Cd
5.2414 0.0000 6.6613 Cd
11.0626 0.0000 4.4827 Cd
2.0776 0.0000 2.2543 Sn
7.9423 0.0000 5.2343 Sn
0.0000 0.0000 0.0000 Hg
```



(2)
The following is a theoretical powder diffractogram of Cd3SnHg2. It was derived from a DFT-relaxed cell (GGA-PBE, Alexandria), using Cu Kα (λ = 1.5418 Å).
Kinematic intensities with the Lorentz-polarization factor, no thermal factor.

Main lines, low angle first (2θ = 10–80°):
30.93 deg, rel. 20.3; 31.05 deg, rel. 100.0; 31.39 deg, rel. 55.5; 32.70 deg, rel. 97.1; 38.36 deg, rel. 93.7; 40.28 deg, rel. 36.8; 41.68 deg, rel. 28.5; 52.27 deg, rel. 22.1

```
Cd3SnHg2
1.0
5.8894 0.0000 0.0000
1.7398 5.8638 0.0000
2.6967 1.4021 8.7478
Cd Sn Hg
6 2 4
Cartesian
1.7662 0.3096 0.9692 Cd
4.5774 4.8250 6.5155 Cd
2.8686 1.3464 3.7810 Cd
7.4572 5.9194 4.9668 Cd
5.7485 2.4408 2.2323 Cd
8.5597 6.9562 7.7786 Cd
3.9043 1.8295 6.7184 Sn
6.4215 5.4363 2.0294 Sn
2.5642 3.2191 0.8040 Hg
3.6738 4.2572 3.6344 Hg
6.6521 3.0087 5.1134 Hg
7.7617 4.0467 7.9438 Hg
```



(3)
The following is a theoretical powder diffractogram of Cd3SnHg5. It was derived from a DFT-relaxed cell (GGA-PBE, Alexandria), using Cu Kα (λ = 1.5418 Å).
Kinematic intensities with the Lorentz-polarization factor, no thermal factor.

Main lines, low angle first (2θ = 10–80°):
29.91 deg, rel. 58.1; 33.47 deg, rel. 96.4; 35.79 deg, rel. 100.0; 36.84 deg, rel. 41.1; 48.15 deg, rel. 22.4; 51.41 deg, rel. 19.6; 60.64 deg, rel. 20.8; 74.28 deg, rel. 22.5

```
Cd3SnHg5
1.0
8.9625 -4.4922 0.0000
8.9625 4.4922 0.0000
0.0000 0.0000 5.8115
Cd Sn Hg
6 2 10
Cartesian
5.3474 1.7814 1.4529 Cd
8.9625 3.0341 4.3586 Cd
5.3474 -1.7814 4.3586 Cd
12.5776 1.7814 1.4529 Cd
8.9625 -3.0341 1.4529 Cd
12.5776 -1.7814 4.3586 Cd
8.9625 0.0000 0.0000 Sn
8.9625 0.0000 2.9058 Sn
2.7568 0.0000 0.0000 Hg
2.7568 0.0000 2.9058 Hg
8.9625 2.8844 1.4529 Hg
6.2406 1.1381 4.3586 Hg
6.2406 -1.1381 1.4529 Hg
11.6844 1.1381 4.3586 Hg
11.6844 -1.1381 1.4529 Hg
8.9625 -2.8844 4.3586 Hg
15.1682 0.0000 0.0000 Hg
15.1682 0.0000 2.9058 Hg
```



(4)
The following is a theoretical powder diffractogram of CdSn2Hg8. It was derived from a DFT-relaxed cell (GGA-PBE, Alexandria), using Cu Kα (λ = 1.5418 Å).
Kinematic intensities with the Lorentz-polarization factor, no thermal factor.

Main lines, low angle first (2θ = 10–80°):
29.24 deg, rel. 49.0; 29.57 deg, rel. 87.7; 30.20 deg, rel. 85.1; 32.51 deg, rel. 43.2; 34.40 deg, rel. 64.1; 34.65 deg, rel. 84.0; 35.12 deg, rel. 91.2; 39.18 deg, rel. 100.0

```
CdSn2Hg8
1.0
4.6005 0.0000 0.0000
-0.0073 6.2966 0.0000
-2.0237 -2.6515 10.4773
Cd Sn Hg
1 2 8
Cartesian
0.0000 0.0000 0.0000 Cd
0.1382 2.8058 4.9991 Sn
2.4312 0.8394 5.4782 Sn
0.0527 3.7357 1.6959 Hg
0.1275 0.4747 2.9747 Hg
0.1701 -0.9111 6.7690 Hg
0.2347 1.8934 9.5124 Hg
2.3347 1.7517 0.9649 Hg
2.3993 4.5562 3.7083 Hg
2.4419 3.1705 7.5027 Hg
2.5167 -0.0906 8.7814 Hg
```



(5)
The following is a theoretical powder diffractogram of Cd6Sn2Hg3. It was derived from a DFT-relaxed cell (GGA-PBE, Alexandria), using Cu Kα (λ = 1.5418 Å).
Kinematic intensities with the Lorentz-polarization factor, no thermal factor.

Main lines, low angle first (2θ = 10–80°):
29.89 deg, rel. 100.0; 40.91 deg, rel. 42.8; 44.57 deg, rel. 34.1; 54.59 deg, rel. 18.3; 62.09 deg, rel. 12.4; 67.76 deg, rel. 19.0; 73.04 deg, rel. 15.4; 79.60 deg, rel. 12.3

```
Cd6Sn2Hg3
1.0
2.0329 1.1737 20.7534
-2.0329 1.1737 20.7534
0.0000 -2.3474 20.7534
Cd Sn Hg
6 2 3
Cartesian
0.0000 0.0000 5.6130 Cd
0.0000 0.0000 11.3065 Cd
0.0000 0.0000 22.6501 Cd
0.0000 0.0000 39.6102 Cd
0.0000 0.0000 50.9539 Cd
0.0000 0.0000 56.6473 Cd
0.0000 0.0000 28.2754 Sn
0.0000 0.0000 33.9849 Sn
0.0000 0.0000 0.0000 Hg
0.0000 0.0000 16.9889 Hg
0.0000 0.0000 45.2714 Hg
```



(6)
The following is a theoretical powder diffractogram of Cd12SnHg4. It was derived from a DFT-relaxed cell (GGA-PBE, Alexandria), using Cu Kα (λ = 1.5418 Å).
Kinematic intensities with the Lorentz-polarization factor, no thermal factor.

Main lines, low angle first (2θ = 10–80°):
17.90 deg, rel. 25.3; 25.43 deg, rel. 49.4; 28.49 deg, rel. 100.0; 33.85 deg, rel. 36.6; 40.72 deg, rel. 70.5; 44.81 deg, rel. 63.1; 46.75 deg, rel. 43.6; 58.95 deg, rel. 22.2

```
Cd12SnHg4
1.0
7.0102 4.0474 2.8571
-7.0102 4.0474 2.8571
0.0000 -8.0947 2.8571
Cd Sn Hg
12 1 4
Cartesian
-3.5199 -3.2210 4.5410 Cd
-1.4353 -2.0135 2.8453 Cd
-4.5494 1.4378 4.0303 Cd
-1.0261 2.2497 2.8453 Cd
1.0295 -4.6588 4.0303 Cd
2.4613 -0.2362 2.8453 Cd
-2.4613 0.2362 5.7260 Cd
-1.0295 4.6588 4.5410 Cd
1.0261 -2.2497 5.7260 Cd
4.5494 -1.4378 4.5410 Cd
1.4353 2.0135 5.7260 Cd
3.5199 3.2210 4.0303 Cd
0.0000 0.0000 0.0000 Sn
-7.0102 0.0000 4.2857 Hg
-3.5051 2.0237 1.4285 Hg
3.5051 2.0237 1.4286 Hg
0.0000 0.0000 4.2857 Hg
```



(7)
The following is a theoretical powder diffractogram of Cd4Sn2Hg3. It was derived from a DFT-relaxed cell (GGA-PBE, Alexandria), using Cu Kα (λ = 1.5418 Å).
Kinematic intensities with the Lorentz-polarization factor, no thermal factor.

Main lines, low angle first (2θ = 10–80°):
26.67 deg, rel. 45.8; 32.75 deg, rel. 57.7; 34.06 deg, rel. 50.1; 34.44 deg, rel. 100.0; 36.63 deg, rel. 60.8; 41.13 deg, rel. 47.6; 41.89 deg, rel. 33.3; 60.15 deg, rel. 24.3

```
Cd4Sn2Hg3
1.0
7.1951 0.0000 0.0000
0.0000 14.7951 0.0000
0.0000 0.0000 4.3889
Cd Sn Hg
8 4 6
Cartesian
0.9528 2.8531 0.0000 Cd
1.1003 12.8763 2.1944 Cd
2.4972 5.4788 0.0000 Cd
2.6448 10.2506 2.1944 Cd
4.5503 4.5445 2.1944 Cd
4.6979 9.3163 0.0000 Cd
6.0948 1.9188 2.1944 Cd
6.2423 11.9420 0.0000 Cd
1.2548 8.3440 0.0000 Sn
2.3427 0.9464 2.1944 Sn
4.8523 13.8487 2.1944 Sn
5.9403 6.4511 0.0000 Sn
0.0000 0.0000 0.0000 Hg
0.4285 4.9004 2.1944 Hg
3.1691 12.2979 0.0000 Hg
3.5975 7.3976 2.1944 Hg
4.0260 2.4972 0.0000 Hg
6.7666 9.8947 2.1944 Hg
```



(8)
The following is a theoretical powder diffractogram of Tl2Cd2SnHg. It was derived from a DFT-relaxed cell (GGA-PBE, Alexandria), using Cu Kα (λ = 1.5418 Å).
Kinematic intensities with the Lorentz-polarization factor, no thermal factor.

Main lines, low angle first (2θ = 10–80°):
29.00 deg, rel. 57.8; 29.41 deg, rel. 100.0; 31.22 deg, rel. 75.4; 31.41 deg, rel. 57.8; 34.69 deg, rel. 61.1; 36.26 deg, rel. 53.6; 40.64 deg, rel. 91.9; 52.26 deg, rel. 67.7

```
Tl2Cd2SnHg
1.0
-3.0412 8.5450 3.2486
3.0412 -8.5450 3.2486
3.0412 8.5450 -3.2486
Tl Cd Sn Hg
4 4 2 2
Cartesian
1.4344 3.0800 0.0000 Tl
1.4344 -3.0800 3.2486 Tl
1.6068 11.6250 0.0000 Tl
1.6068 5.4649 3.2486 Tl
4.4922 2.2919 0.0000 Cd
1.4510 6.2530 0.0000 Cd
1.5902 2.2919 3.2486 Cd
-1.4510 6.2530 3.2486 Cd
3.0412 0.0000 1.6243 Sn
0.0000 8.5450 1.6243 Sn
0.0000 0.0000 1.6243 Hg
0.0000 0.0000 4.8729 Hg
```



(9)
The following is a theoretical powder diffractogram of Sr6CdHg. It was derived from a DFT-relaxed cell (GGA-PBE, Alexandria), using Cu Kα (λ = 1.5418 Å).
Kinematic intensities with the Lorentz-polarization factor, no thermal factor.

Main lines, low angle first (2θ = 10–80°):
27.76 deg, rel. 100.0; 30.75 deg, rel. 49.8; 34.02 deg, rel. 23.0; 41.37 deg, rel. 14.8; 44.03 deg, rel. 21.3; 47.14 deg, rel. 10.7; 52.86 deg, rel. 33.1; 56.79 deg, rel. 10.7

```
Sr6CdHg
1.0
-2.9077 2.9077 10.3009
2.9077 -2.9077 10.3009
2.9077 2.9077 -10.3009
Sr Cd Hg
6 1 1
Cartesian
2.9077 0.0000 1.9351 Sr
0.0000 0.0000 5.1344 Sr
2.9077 0.0000 8.3658 Sr
0.0000 2.9077 1.9351 Sr
0.0000 0.0000 15.4674 Sr
0.0000 2.9077 8.3658 Sr
0.0000 0.0000 0.0000 Cd
0.0000 0.0000 10.3009 Hg
```



(10)
The following is a theoretical powder diffractogram of Sr3CdHg12. It was derived from a DFT-relaxed cell (GGA-PBE, Alexandria), using Cu Kα (λ = 1.5418 Å).
Kinematic intensities with the Lorentz-polarization factor, no thermal factor.

Main lines, low angle first (2θ = 10–80°):
32.26 deg, rel. 100.0; 36.85 deg, rel. 36.7; 38.52 deg, rel. 13.7; 53.11 deg, rel. 13.0; 54.37 deg, rel. 20.3; 63.51 deg, rel. 29.2; 65.77 deg, rel. 9.2; 67.50 deg, rel. 10.7

```
Sr3CdHg12
1.0
4.8776 0.0000 0.0000
0.0000 4.8776 0.0000
0.0000 0.0000 18.6953
Sr Cd Hg
3 1 12
Cartesian
0.0000 0.0000 0.0000 Sr
0.0000 0.0000 4.9277 Sr
0.0000 0.0000 13.7676 Sr
0.0000 0.0000 9.3477 Cd
0.0000 2.4388 2.4337 Hg
0.0000 2.4388 7.2441 Hg
0.0000 2.4388 11.4512 Hg
0.0000 2.4388 16.2616 Hg
2.4388 0.0000 2.4337 Hg
2.4388 0.0000 7.2441 Hg
2.4388 0.0000 11.4512 Hg
2.4388 0.0000 16.2616 Hg
2.4388 2.4388 0.0000 Hg
2.4388 2.4388 4.7734 Hg
2.4388 2.4388 9.3477 Hg
2.4388 2.4388 13.9219 Hg
```



(11)
The following is a theoretical powder diffractogram of Sr2CdHg4. It was derived from a DFT-relaxed cell (GGA-PBE, Alexandria), using Cu Kα (λ = 1.5418 Å).
Kinematic intensities with the Lorentz-polarization factor, no thermal factor.

Main lines, low angle first (2θ = 10–80°):
11.56 deg, rel. 13.3; 32.17 deg, rel. 100.0; 33.04 deg, rel. 74.2; 46.78 deg, rel. 28.3; 57.36 deg, rel. 19.5; 57.91 deg, rel. 30.1; 67.30 deg, rel. 12.1; 77.05 deg, rel. 13.3

```
Sr2CdHg4
1.0
2.7824 1.6064 7.6530
-2.7824 1.6064 7.6530
0.0000 -3.2128 7.6530
Sr Cd Hg
2 1 4
Cartesian
0.0000 0.0000 5.2555 Sr
0.0000 0.0000 17.7035 Sr
0.0000 0.0000 11.4795 Cd
0.0000 0.0000 1.5892 Hg
0.0000 0.0000 8.5383 Hg
0.0000 0.0000 14.4207 Hg
0.0000 0.0000 21.3697 Hg
```



(12)
The following is a theoretical powder diffractogram of SrCd3Hg3. It was derived from a DFT-relaxed cell (GGA-PBE, Alexandria), using Cu Kα (λ = 1.5418 Å).
Kinematic intensities with the Lorentz-polarization factor, no thermal factor.

Main lines, low angle first (2θ = 10–80°):
13.53 deg, rel. 25.3; 26.19 deg, rel. 29.0; 31.13 deg, rel. 100.0; 33.77 deg, rel. 59.5; 38.64 deg, rel. 18.2; 39.00 deg, rel. 26.8; 45.56 deg, rel. 30.1; 61.49 deg, rel. 23.5

```
SrCd3Hg3
1.0
3.9821 2.2990 6.9288
-3.9821 2.2990 6.9288
0.0000 -4.5981 6.9288
Sr Cd Hg
2 6 6
Cartesian
0.0000 0.0000 2.2810 Sr
0.0000 0.0000 18.5055 Sr
0.0000 -1.7204 6.7699 Cd
-1.4899 0.8602 6.7699 Cd
-1.4899 -0.8602 14.0166 Cd
1.4899 0.8602 6.7699 Cd
1.4899 -0.8602 14.0166 Cd
0.0000 1.7204 14.0166 Cd
-1.8366 -1.0603 9.2855 Hg
0.0000 -2.1207 11.5009 Hg
-1.8366 1.0603 11.5009 Hg
1.8366 -1.0603 9.2855 Hg
0.0000 2.1207 9.2855 Hg
1.8366 1.0603 11.5010 Hg
```